Diffraction record for K2GaHg5. The powder diffractogram is computed, not measured: it uses a PBE-relaxed structure and Cu Kα (weighted mean of Kα1 and Kα2).
Intensities are scaled so that the largest is 100.

Structural model:
```
data_K2GaHg5
_chemical_formula_sum 'K4 Ga2 Hg10'
_cell_length_a 7.007
_cell_length_b 7.007
_cell_length_c 11.203
_cell_angle_alpha 90.00
_cell_angle_beta 90.00
_cell_angle_gamma 90.00
_space_group_name_H-M_alt 'I 4 m m'
_space_group_IT_number 107
_space_group_name_Hall 'I 4 -2'
loop_
_atom_site_label
_atom_site_type_symbol
_atom_site_fract_x
_atom_site_fract_y
_atom_site_fract_z
_atom_site_occupancy
K1 K 0.000 0.500 0.000 1
Ga1 Ga 0.000 0.000 0.142 1
Hg1 Hg 0.000 0.000 0.901 1
Hg2 Hg 0.245 0.245 0.747 1
```

The 10 most intense peaks (10° ≤ 2θ ≤ 90°), sorted by position:
(1 0 1), 2θ 14.91, I = 29; (0 0 2), 2θ 15.82, I = 57; (2 0 0), 2θ 25.42, I = 16; (2 0 2), 2θ 30.09, I = 100; (2 2 0), 2θ 36.26, I = 46; (2 2 2), 2θ 39.79, I = 25; (2 0 4), 2θ 41.27, I = 44; (4 0 0), 2θ 52.22, I = 16; (4 2 2), 2θ 61.45, I = 26; (4 2 4), 2θ 68.64, I = 20

Diffraction record for CsRbTlCl3. The powder diffractogram is computed, not measured: it uses a PBE-relaxed structure and Cu Kα (weighted mean of Kα1 and Kα2).
Intensities are scaled so that the largest is 100.

Structural model:
```
data_CsRbTlCl3
_chemical_formula_sum 'Cs2 Rb2 Tl2 Cl6'
_cell_length_a 8.259
_cell_length_b 4.689
_cell_length_c 12.366
_cell_angle_alpha 90.00
_cell_angle_beta 102.38
_cell_angle_gamma 90.00
_space_group_name_H-M_alt 'P 1 21/m 1'
_space_group_IT_number 11
loop_
_space_group_symop_operation_xyz
'x,y,z'
'-x,-y,-z'
'-x,y+1/2,-z'
'x,-y+1/2,z'
loop_
_atom_site_label
_atom_site_type_symbol
_atom_site_fract_x
_atom_site_fract_y
_atom_site_fract_z
_atom_site_occupancy
Cs1 Cs 0.154 0.250 0.194 1
Rb1 Rb 0.267 0.750 0.552 1
Tl1 Tl 0.363 0.250 0.861 1
Cl1 Cl 0.057 0.250 0.665 1
Cl2 Cl 0.243 0.750 0.990 1
Cl3 Cl 0.453 0.750 0.340 1
```

The 10 most intense peaks (10° ≤ 2θ ≤ 90°), sorted by position:
(0 0 3), 2θ 22.07, I = 30; (1 1 1), 2θ 23.90, I = 85; (1 1 -2), 2θ 25.10, I = 100; (2 0 2), 2θ 29.15, I = 37; (1 1 -3), 2θ 29.55, I = 27; (2 0 -4), 2θ 33.02, I = 26; (0 2 0), 2θ 38.39, I = 31; (3 1 -2), 2θ 38.71, I = 22; (1 1 4), 2θ 39.09, I = 25; (2 2 2), 2θ 48.94, I = 26

Diffraction record for Sr3Al2Hg4As2. The powder diffractogram is computed, not measured: it uses a PBE-relaxed structure and Cu Kα (weighted mean of Kα1 and Kα2).
Intensities are scaled so that the largest is 100.

Structural model:
```
data_Sr3Al2Hg4As2
_chemical_formula_sum 'Sr6 Al4 Hg8 As4'
_cell_length_a 4.724
_cell_length_b 4.724
_cell_length_c 29.879
_cell_angle_alpha 90.00
_cell_angle_beta 90.00
_cell_angle_gamma 90.00
_space_group_name_H-M_alt 'I 4/m m m'
_space_group_IT_number 139
_space_group_name_Hall '-I 4 2'
loop_
_atom_site_label
_atom_site_type_symbol
_atom_site_fract_x
_atom_site_fract_y
_atom_site_fract_z
_atom_site_occupancy
Sr1 Sr 0.000 0.000 0.000 1
Sr2 Sr 0.000 0.000 0.195 1
Al1 Al 0.000 0.000 0.377 1
Hg1 Hg 0.000 0.500 0.081 1
As1 As 0.000 0.000 0.299 1
```

The 10 most intense peaks (10° ≤ 2θ ≤ 90°), sorted by position:
(0 0 6), 2θ 17.81, I = 35; (0 0 8), 2θ 23.82, I = 21; (1 1 2), 2θ 27.36, I = 53; (1 1 4), 2θ 29.29, I = 28; (1 1 6), 2θ 32.27, I = 100; (2 0 0), 2θ 38.10, I = 51; (0 0 14), 2θ 42.35, I = 22; (1 1 12), 2θ 45.43, I = 52; (2 2 0), 2θ 54.99, I = 19; (3 1 6), 2θ 65.20, I = 27

What did the first record say?
Diffraction record for K2GaHg5. The powder diffractogram is computed, not measured: it uses a PBE-relaxed structure and Cu Kα (weighted mean of Kα1 and Kα2).
Intensities are scaled so that the largest is 100.

Structural model:
```
data_K2GaHg5
_chemical_formula_sum 'K4 Ga2 Hg10'
_cell_length_a 7.007
_cell_length_b 7.007
_cell_length_c 11.203
_cell_angle_alpha 90.00
_cell_angle_beta 90.00
_cell_angle_gamma 90.00
_space_group_name_H-M_alt 'I 4 m m'
_space_group_IT_number 107
_space_group_name_Hall 'I 4 -2'
loop_
_atom_site_label
_atom_site_type_symbol
_atom_site_fract_x
_atom_site_fract_y
_atom_site_fract_z
_atom_site_occupancy
K1 K 0.000 0.500 0.000 1
Ga1 Ga 0.000 0.000 0.142 1
Hg1 Hg 0.000 0.000 0.901 1
Hg2 Hg 0.245 0.245 0.747 1
```

The 10 most intense peaks (10° ≤ 2θ ≤ 90°), sorted by position:
(1 0 1), 2θ 14.91, I = 29; (0 0 2), 2θ 15.82, I = 57; (2 0 0), 2θ 25.42, I = 16; (2 0 2), 2θ 30.09, I = 100; (2 2 0), 2θ 36.26, I = 46; (2 2 2), 2θ 39.79, I = 25; (2 0 4), 2θ 41.27, I = 44; (4 0 0), 2θ 52.22, I = 16; (4 2 2), 2θ 61.45, I = 26; (4 2 4), 2θ 68.64, I = 20